No. 1
LiFeP4O12: calculated X-ray powder pattern (Cu Kα (λ = 1.5418 Å)), based on a structure optimized by DFT (GGA+U).
Intensities are scaled so that the largest is 100.

Atomic structure:
Lattice parameters (Å, degrees): 5.243 13.718 7.354 90.00 98.16 90.00
Space group P2_1 (No. 4)
One atom of each set of equivalent atoms:
Li  0.138  0.000  0.114
Fe  0.007  0.227  0.504
P  0.280  0.812  0.884
P  0.356  0.168  0.896
P  0.478  0.589  0.444
P  0.493  0.367  0.446
O  0.124  0.737  0.765
O  0.127  0.209  0.772
O  0.148  0.894  0.961
O  0.209  0.601  0.489
O  0.224  0.352  0.490
O  0.290  0.810  0.443
O  0.310  0.150  0.452
O  0.315  0.110  0.059
O  0.426  0.979  0.517
O  0.453  0.758  0.052
O  0.473  0.602  0.226
O  0.496  0.353  0.230

Principal peaks in the range 10° ≤ 2θ ≤ 80°, sorted by position:
2θ = 12.16°, d = 7.279 Å, intensity 61, hkl 0 0 1
2θ = 12.91°, d = 6.859 Å, intensity 100, hkl 0 2 0
2θ = 13.77°, d = 6.430 Å, intensity 34, hkl 0 1 1
2θ = 23.34°, d = 3.812 Å, intensity 26, hkl 1 1 1
2θ = 23.49°, d = 3.787 Å, intensity 68, hkl 1 2 -1
2θ = 24.46°, d = 3.640 Å, intensity 41, hkl 0 0 2
2θ = 25.96°, d = 3.433 Å, intensity 31, hkl 1 2 1
2θ = 31.26°, d = 2.861 Å, intensity 31, hkl 1 4 0
2θ = 32.72°, d = 2.737 Å, intensity 19, hkl 1 4 -1
2θ = 37.06°, d = 2.426 Å, intensity 22, hkl 0 0 3

=====

No. 2
Sr2FeBrO3: calculated X-ray powder pattern (Cu Kα (λ = 1.5418 Å)), based on a structure optimized by DFT (GGA+U).
Intensities are scaled so that the largest is 100.

Atomic structure:
Lattice parameters (Å, degrees): 3.974 3.974 15.604 90.00 90.00 90.00
Space group P4/nmm (No. 129, origin choice 2)
One atom of each set of equivalent atoms:
Sr  0.250  0.250  0.089
Sr  0.250  0.250  0.318
Fe  0.250  0.250  0.808
Br  0.250  0.250  0.591
O  0.250  0.250  0.931
O  0.250  0.750  0.213

Principal peaks in the range 10° ≤ 2θ ≤ 80°, sorted by position:
2θ = 11.34°, d = 7.802 Å, intensity 11, hkl 0 0 2
2θ = 31.84°, d = 2.810 Å, intensity 68, hkl 1 1 0
2θ = 32.15°, d = 2.784 Å, intensity 100, hkl 1 0 4
2θ = 39.52°, d = 2.280 Å, intensity 15, hkl 1 1 4
2θ = 41.50°, d = 2.176 Å, intensity 15, hkl 1 0 6
2θ = 45.65°, d = 1.987 Å, intensity 36, hkl 2 0 0
2θ = 52.24°, d = 1.751 Å, intensity 11, hkl 1 0 8
2θ = 56.93°, d = 1.617 Å, intensity 38, hkl 2 1 4
2θ = 66.55°, d = 1.405 Å, intensity 11, hkl 2 2 0
2θ = 75.67°, d = 1.257 Å, intensity 11, hkl 3 1 0

=====

No. 3
MgV4Ag2O11: calculated X-ray powder pattern (Cu Kα (λ = 1.5418 Å)), based on a structure optimized by DFT (GGA+U).
Intensities are scaled so that the largest is 100.

Atomic structure:
Lattice parameters (Å, degrees): 15.141 3.765 10.925 90.00 132.93 90.00
Space group C2 (No. 5)
One atom of each set of equivalent atoms:
Mg  0.000  0.000  0.000
V  0.137  0.001  0.898
V  0.163  0.499  0.688
Ag  0.147  0.499  0.322
O  0.000  0.502  0.500
O  0.018  0.999  0.203
O  0.151  0.001  0.727
O  0.168  0.003  0.106
O  0.170  0.501  0.899
O  0.211  0.497  0.586

Principal peaks in the range 10° ≤ 2θ ≤ 80°, sorted by position:
2θ = 15.99°, d = 5.543 Å, intensity 43, hkl 2 0 0
2θ = 23.51°, d = 3.785 Å, intensity 51, hkl 4 0 -2
2θ = 29.58°, d = 3.020 Å, intensity 100, hkl 1 1 1
2θ = 30.08°, d = 2.971 Å, intensity 88, hkl 3 1 -1
2θ = 32.30°, d = 2.772 Å, intensity 47, hkl 4 0 0
2θ = 33.99°, d = 2.637 Å, intensity 54, hkl 3 1 0
2θ = 34.28°, d = 2.616 Å, intensity 61, hkl 3 1 -3
2θ = 35.55°, d = 2.525 Å, intensity 46, hkl 6 0 -3
2θ = 41.72°, d = 2.165 Å, intensity 77, hkl 4 0 -5
2θ = 48.35°, d = 1.883 Å, intensity 56, hkl 0 2 0